Record 1
Diffraction record for Tb3Co2Ni7. The powder diffraction line list is computed, not measured: it uses the GGA-PBE geometry in Alexandria and CuKα.
Intensities are scaled so that the largest is 100.

Structure:
```
data_Tb3Co2Ni7
_cell_length_a 4.9678
_cell_length_b 4.9678
_cell_length_c 24.4852
_cell_angle_alpha 90.00
_cell_angle_beta 90.00
_cell_angle_gamma 120.00
_symmetry_space_group_name_H-M 'R -3 m'
_symmetry_Int_Tables_number 166
_symmetry_space_group_name_Hall '-R 3 2"'
loop_
_atom_site_label
_atom_site_fract_x
_atom_site_fract_y
_atom_site_fract_z
Tb1 0.0000 0.0000 0.0000
Tb2 0.0000 0.0000 0.1385
Co1 0.0000 0.0000 0.3328
Ni1 0.0000 0.0000 0.5000
Ni2 0.9999 0.4999 0.0812
```

Main lines, most intense first (2θ from 5° to 70°):
- 42.62 deg, intensity 100, (1 1 6)
- 33.00 deg, intensity 51, (1 0 7)
- 36.16 deg, intensity 51, (1 1 0)
- 36.01 deg, intensity 42, (0 1 8)
- 42.17 deg, intensity 38, (0 2 1)
- 64.98 deg, intensity 24, (3 0 0)
- 69.47 deg, intensity 20, (3 0 6)
- 63.04 deg, intensity 15, (2 1 7)
- 46.09 deg, intensity 15, (2 0 5)
- 45.90 deg, intensity 13, (0 1 11)

Record 2
Diffraction record for TbCo4Ni8. The powder diffraction line list is computed, not measured: it uses the GGA-PBE geometry in Alexandria and CuKα.
Intensities are scaled so that the largest is 100.

Structure:
```
data_TbCo4Ni8
_cell_length_a 8.2552
_cell_length_b 8.2552
_cell_length_c 4.6634
_cell_angle_alpha 90.00
_cell_angle_beta 90.00
_cell_angle_gamma 90.00
_symmetry_space_group_name_H-M 'I 4/m m m'
_symmetry_Int_Tables_number 139
_symmetry_space_group_name_Hall '-I 4 2'
loop_
_atom_site_label
_atom_site_fract_x
_atom_site_fract_y
_atom_site_fract_z
Tb1 0.0000 0.0000 0.0000
Co1 0.2500 0.2500 0.2500
Ni1 0.0000 0.2217 0.5000
Ni2 0.0000 0.3554 0.0000
```

Main lines, most intense first (2θ from 5° to 70°):
- 44.06 deg, intensity 100, (3 2 1)
- 44.63 deg, intensity 67, (2 0 2)
- 43.87 deg, intensity 57, (4 0 0)
- 37.97 deg, intensity 48, (3 0 1)
- 30.89 deg, intensity 30, (2 1 1)
- 50.07 deg, intensity 27, (2 2 2)
- 38.61 deg, intensity 18, (0 0 2)
- 34.35 deg, intensity 13, (3 1 0)
- 49.37 deg, intensity 12, (4 2 0)
- 64.37 deg, intensity 9, (4 2 2)

Record 3
Diffraction record for Tb2Co3Ni. The powder diffraction line list is computed, not measured: it uses the GGA-PBE geometry in Alexandria and CuKα.
Intensities are scaled so that the largest is 100.

Structure:
```
data_Tb2Co3Ni
_cell_length_a 4.9990
_cell_length_b 4.9990
_cell_length_c 12.8595
_cell_angle_alpha 90.00
_cell_angle_beta 90.00
_cell_angle_gamma 120.00
_symmetry_space_group_name_H-M 'R -3 m'
_symmetry_Int_Tables_number 166
_symmetry_space_group_name_Hall '-R 3 2"'
loop_
_atom_site_label
_atom_site_fract_x
_atom_site_fract_y
_atom_site_fract_z
Tb1 0.0000 0.0000 0.1220
Co1 0.0000 0.5000 0.0000
Ni1 0.0000 0.0000 0.5000
```

Main lines, most intense first (2θ from 5° to 70°):
- 41.84 deg, intensity 100, (1 1 3)
- 34.76 deg, intensity 71, (1 0 4)
- 35.93 deg, intensity 68, (1 1 0)
- 40.81 deg, intensity 65, (0 1 5)
- 42.34 deg, intensity 51, (0 2 1)
- 67.89 deg, intensity 28, (1 2 5)
- 44.15 deg, intensity 26, (2 0 2)
- 63.83 deg, intensity 25, (2 1 4)
- 21.66 deg, intensity 23, (1 0 1)
- 68.62 deg, intensity 22, (3 0 3)

Record 4
Diffraction record for CoTcNi2. The powder diffraction line list is computed, not measured: it uses the GGA-PBE geometry in Alexandria and CuKα.
Intensities are scaled so that the largest is 100.

Structure:
```
data_CoTcNi2
_cell_length_a 2.4764
_cell_length_b 4.0948
_cell_length_c 4.7755
_cell_angle_alpha 90.00
_cell_angle_beta 90.00
_cell_angle_gamma 90.00
_symmetry_space_group_name_H-M 'P m m 2'
_symmetry_Int_Tables_number 25
loop_
_symmetry_equiv_pos_as_xyz
'x,y,z'
'-x,-y,z'
'-x,y,z'
'x,-y,z'
loop_
_atom_site_label
_atom_site_fract_x
_atom_site_fract_y
_atom_site_fract_z
Co1 0.0000 0.0000 0.0000
Tc1 0.5000 0.5000 0.2546
Ni1 0.0000 0.0000 0.4966
Ni2 0.0000 0.5000 0.7534
```

Main lines, most intense first (2θ from 5° to 70°):
- 43.89 deg, intensity 100, (0 1 2)
- 46.91 deg, intensity 54, (1 1 1)
- 44.24 deg, intensity 49, (0 2 0)
- 41.06 deg, intensity 38, (1 0 1)
- 42.67 deg, intensity 34, (1 1 0)
- 61.93 deg, intensity 22, (1 2 1)
- 53.30 deg, intensity 17, (1 0 2)
- 36.28 deg, intensity 9, (1 0 0)
- 18.58 deg, intensity 8, (0 0 1)
- 58.21 deg, intensity 8, (1 1 2)

Record 5
Diffraction record for Co2NiTe4. The powder diffraction line list is computed, not measured: it uses the GGA-PBE geometry in Alexandria and CuKα.
Intensities are scaled so that the largest is 100.

Structure:
```
data_Co2NiTe4
_cell_length_a 10.6862
_cell_length_b 13.3749
_cell_length_c 7.8556
_cell_angle_alpha 90.00
_cell_angle_beta 90.00
_cell_angle_gamma 90.00
_symmetry_space_group_name_H-M 'F d d 2'
_symmetry_Int_Tables_number 43
_symmetry_space_group_name_Hall 'F 2 -2d'
loop_
_atom_site_label
_atom_site_fract_x
_atom_site_fract_y
_atom_site_fract_z
Co1 0.0071 0.2415 0.0000
Ni1 0.0000 0.0000 0.2393
Te1 0.1210 0.3287 0.2483
Te2 0.1240 0.3326 0.7507
```

Main lines, most intense first (2θ from 5° to 70°):
- 31.27 deg, intensity 100, (2 2 2)
- 31.56 deg, intensity 54, (2 4 0)
- 43.13 deg, intensity 46, (4 2 2)
- 46.86 deg, intensity 41, (0 6 2)
- 46.23 deg, intensity 22, (0 0 4)
- 57.05 deg, intensity 20, (2 4 4)
- 43.35 deg, intensity 19, (4 4 0)
- 58.56 deg, intensity 16, (6 2 2)
- 33.54 deg, intensity 11, (4 0 0)
- 65.23 deg, intensity 10, (4 4 4)

Record 6
Diffraction record for CoNiTe3. The powder diffraction line list is computed, not measured: it uses the GGA-PBE geometry in Alexandria and CuKα.
Intensities are scaled so that the largest is 100.

Structure:
```
data_CoNiTe3
_cell_length_a 12.3844
_cell_length_b 11.5493
_cell_length_c 6.3973
_cell_angle_alpha 90.00
_cell_angle_beta 110.61
_cell_angle_gamma 90.00
_symmetry_space_group_name_H-M 'C 1 2/c 1'
_symmetry_Int_Tables_number 15
loop_
_symmetry_equiv_pos_as_xyz
'x,y,z'
'-x,-y,-z'
'-x,y,-z+1/2'
'x,-y,z+1/2'
'x+1/2,y+1/2,z'
'-x+1/2,-y+1/2,-z'
'-x+1/2,y+1/2,-z+1/2'
'x+1/2,-y+1/2,z+1/2'
loop_
_atom_site_label
_atom_site_fract_x
_atom_site_fract_y
_atom_site_fract_z
Co1 0.2310 0.0945 0.4397
Ni1 0.0000 0.0997 0.2500
Ni2 0.0000 0.3979 0.7500
Te1 0.1199 0.2528 0.5752
Te2 0.1285 0.0843 0.0121
Te3 0.1350 0.4505 0.1560
```

Main lines, most intense first (2θ from 5° to 70°):
- 32.52 deg, intensity 100, (3 3 -1)
- 30.03 deg, intensity 59, (1 3 1)
- 34.36 deg, intensity 29, (1 1 2)
- 30.86 deg, intensity 25, (4 0 0)
- 38.39 deg, intensity 25, (2 0 2)
- 45.34 deg, intensity 23, (2 2 -3)
- 52.76 deg, intensity 20, (5 3 1)
- 47.22 deg, intensity 20, (0 6 0)
- 46.08 deg, intensity 18, (6 0 -2)
- 42.47 deg, intensity 18, (2 4 -2)

Record 7
Diffraction record for CoNiTe2. The powder diffraction line list is computed, not measured: it uses the GGA-PBE geometry in Alexandria and CuKα.
Intensities are scaled so that the largest is 100.

Structure:
```
data_CoNiTe2
_cell_length_a 3.9696
_cell_length_b 3.9696
_cell_length_c 5.2906
_cell_angle_alpha 90.00
_cell_angle_beta 90.00
_cell_angle_gamma 120.00
_symmetry_space_group_name_H-M 'P -3 m 1'
_symmetry_Int_Tables_number 164
_symmetry_space_group_name_Hall '-P 3 2"'
loop_
_atom_site_label
_atom_site_fract_x
_atom_site_fract_y
_atom_site_fract_z
Co1 0.0000 0.0000 0.0000
Ni1 0.0000 0.0000 0.5000
Te1 0.3333 0.6667 0.7610
```

Main lines, most intense first (2θ from 5° to 70°):
- 31.02 deg, intensity 100, (0 1 1)
- 43.15 deg, intensity 55, (1 0 2)
- 45.71 deg, intensity 52, (1 1 0)
- 56.27 deg, intensity 18, (2 0 1)
- 64.67 deg, intensity 16, (0 2 2)
- 58.85 deg, intensity 15, (0 1 3)
- 58.10 deg, intensity 5, (1 1 2)
- 33.89 deg, intensity 4, (0 0 2)

Record 8
Diffraction record for CoNi3Te6. The powder diffraction line list is computed, not measured: it uses the GGA-PBE geometry in Alexandria and CuKα.
Intensities are scaled so that the largest is 100.

Structure:
```
data_CoNi3Te6
_cell_length_a 6.5731
_cell_length_b 6.7252
_cell_length_c 11.7579
_cell_angle_alpha 90.00
_cell_angle_beta 123.77
_cell_angle_gamma 90.00
_symmetry_space_group_name_H-M 'P 1 21/c 1'
_symmetry_Int_Tables_number 14
loop_
_symmetry_equiv_pos_as_xyz
'x,y,z'
'-x,-y,-z'
'-x,y+1/2,-z+1/2'
'x,-y+1/2,z+1/2'
loop_
_atom_site_label
_atom_site_fract_x
_atom_site_fract_y
_atom_site_fract_z
Co1 0.0000 0.0000 0.0000
Ni1 0.2996 0.0746 0.8004
Ni2 0.5000 0.0000 0.5000
Te1 0.0974 0.0755 0.2402
Te2 0.2996 0.6880 0.1122
Te3 0.3751 0.1678 0.0400
```

Main lines, most intense first (2θ from 5° to 70°):
- 30.62 deg, intensity 100, (1 0 2)
- 30.27 deg, intensity 76, (2 1 -2)
- 33.51 deg, intensity 72, (1 1 -4)
- 35.14 deg, intensity 60, (1 2 1)
- 31.65 deg, intensity 51, (2 1 -1)
- 31.25 deg, intensity 40, (1 2 -2)
- 47.51 deg, intensity 32, (3 1 -5)
- 28.06 deg, intensity 31, (0 2 1)
- 47.38 deg, intensity 27, (3 1 -1)
- 56.50 deg, intensity 27, (1 4 -1)

Record 9
Diffraction record for CoNiTe2. The powder diffraction line list is computed, not measured: it uses the GGA-PBE geometry in Alexandria and CuKα.
Intensities are scaled so that the largest is 100.

Structure:
```
data_CoNiTe2
_cell_length_a 5.2604
_cell_length_b 12.3392
_cell_length_c 5.3053
_cell_angle_alpha 90.00
_cell_angle_beta 90.00
_cell_angle_gamma 90.00
_symmetry_space_group_name_H-M 'I b a m'
_symmetry_Int_Tables_number 72
_symmetry_space_group_name_Hall '-I 2 2c'
loop_
_atom_site_label
_atom_site_fract_x
_atom_site_fract_y
_atom_site_fract_z
Co1 0.0000 0.0000 0.2500
Ni1 0.0000 0.5000 0.2500
Te1 0.2419 0.1358 0.0000
```

Main lines, most intense first (2θ from 5° to 70°):
- 27.92 deg, intensity 100, (1 2 1)
- 45.08 deg, intensity 30, (0 4 2)
- 45.31 deg, intensity 29, (2 4 0)
- 48.76 deg, intensity 24, (2 0 2)
- 14.36 deg, intensity 19, (0 2 0)
- 50.67 deg, intensity 16, (1 6 1)
- 56.92 deg, intensity 13, (1 2 3)
- 57.32 deg, intensity 13, (3 2 1)
- 36.88 deg, intensity 10, (0 2 2)
- 37.16 deg, intensity 10, (2 2 0)

Record 10
Diffraction record for CoNi2Te5. The powder diffraction line list is computed, not measured: it uses the GGA-PBE geometry in Alexandria and CuKα.
Intensities are scaled so that the largest is 100.

Structure:
```
data_CoNi2Te5
_cell_length_a 11.6466
_cell_length_b 6.7767
_cell_length_c 6.2279
_cell_angle_alpha 90.00
_cell_angle_beta 114.76
_cell_angle_gamma 90.00
_symmetry_space_group_name_H-M 'C 1 m 1'
_symmetry_Int_Tables_number 8
loop_
_symmetry_equiv_pos_as_xyz
'x,y,z'
'x,-y,z'
'x+1/2,y+1/2,z'
'x+1/2,-y+1/2,z'
loop_
_atom_site_label
_atom_site_fract_x
_atom_site_fract_y
_atom_site_fract_z
Co1 0.0000 0.0000 0.0000
Ni1 0.3760 0.0000 0.7702
Ni2 0.4849 0.5000 0.3873
Te1 0.0219 0.2391 0.7201
Te2 0.1983 0.0000 0.3641
Te3 0.3464 0.2582 0.0487
```

Main lines, most intense first (2θ from 5° to 70°):
- 30.76 deg, intensity 100, (4 0 -1)
- 15.53 deg, intensity 85, (1 1 0)
- 27.50 deg, intensity 82, (2 0 1)
- 31.78 deg, intensity 71, (2 2 -1)
- 39.48 deg, intensity 53, (2 2 -2)
- 16.77 deg, intensity 50, (2 0 0)
- 28.91 deg, intensity 45, (2 0 -2)
- 40.89 deg, intensity 42, (4 2 -1)
- 19.44 deg, intensity 39, (1 1 -1)
- 43.41 deg, intensity 36, (4 2 0)

Record 11
Diffraction record for CoNiTe3. The powder diffraction line list is computed, not measured: it uses the GGA-PBE geometry in Alexandria and CuKα.
Intensities are scaled so that the largest is 100.

Structure:
```
data_CoNiTe3
_cell_length_a 11.3113
_cell_length_b 12.1888
_cell_length_c 6.5052
_cell_angle_alpha 90.00
_cell_angle_beta 97.50
_cell_angle_gamma 90.00
_symmetry_space_group_name_H-M 'C 1 2/c 1'
_symmetry_Int_Tables_number 15
loop_
_symmetry_equiv_pos_as_xyz
'x,y,z'
'-x,-y,-z'
'-x,y,-z+1/2'
'x,-y,z+1/2'
'x+1/2,y+1/2,z'
'-x+1/2,-y+1/2,-z'
'-x+1/2,y+1/2,-z+1/2'
'x+1/2,-y+1/2,z+1/2'
loop_
_atom_site_label
_atom_site_fract_x
_atom_site_fract_y
_atom_site_fract_z
Co1 0.0000 0.0727 0.2500
Co2 0.0000 0.2371 0.7500
Ni1 0.1265 0.3923 0.9415
Te1 0.1004 0.4036 0.5504
Te2 0.1182 0.0832 0.6139
Te3 0.1392 0.1994 0.0961
```

Main lines, most intense first (2θ from 5° to 70°):
- 34.18 deg, intensity 100, (3 3 -1)
- 27.66 deg, intensity 78, (1 3 1)
- 31.92 deg, intensity 58, (4 0 0)
- 47.59 deg, intensity 53, (1 3 -3)
- 30.72 deg, intensity 41, (1 1 2)
- 33.83 deg, intensity 39, (2 0 2)
- 30.10 deg, intensity 33, (2 0 -2)
- 35.49 deg, intensity 25, (2 4 -1)
- 15.80 deg, intensity 22, (2 0 0)
- 49.58 deg, intensity 21, (1 3 3)

Record 12
Diffraction record for Th3Co2Ni. The powder diffraction line list is computed, not measured: it uses the GGA-PBE geometry in Alexandria and CuKα.
Intensities are scaled so that the largest is 100.

Structure:
```
data_Th3Co2Ni
_cell_length_a 7.1591
_cell_length_b 7.1591
_cell_length_c 17.9389
_cell_angle_alpha 90.00
_cell_angle_beta 90.00
_cell_angle_gamma 120.00
_symmetry_space_group_name_H-M 'R -3 c'
_symmetry_Int_Tables_number 167
_symmetry_space_group_name_Hall '-R 3 2"c'
loop_
_atom_site_label
_atom_site_fract_x
_atom_site_fract_y
_atom_site_fract_z
Th1 0.0000 0.3023 0.2500
Co1 0.0000 0.0000 0.1462
Ni1 0.0000 0.0000 0.0000
```

Main lines, most intense first (2θ from 5° to 70°):
- 29.07 deg, intensity 100, (1 1 3)
- 43.81 deg, intensity 33, (3 0 0)
- 39.26 deg, intensity 33, (1 1 6)
- 52.55 deg, intensity 20, (1 1 9)
- 53.44 deg, intensity 16, (2 2 3)
- 29.88 deg, intensity 13, (0 0 6)
- 53.93 deg, intensity 12, (3 0 6)
- 60.27 deg, intensity 8, (2 2 6)
- 38.75 deg, intensity 6, (2 1 1)
- 30.51 deg, intensity 4, (2 0 2)

Record 13
Diffraction record for Th3Co2Ni3. The powder diffraction line list is computed, not measured: it uses the GGA-PBE geometry in Alexandria and CuKα.
Intensities are scaled so that the largest is 100.

Structure:
```
data_Th3Co2Ni3
_cell_length_a 3.8617
_cell_length_b 9.6391
_cell_length_c 15.8160
_cell_angle_alpha 90.00
_cell_angle_beta 90.00
_cell_angle_gamma 90.00
_symmetry_space_group_name_H-M 'C m c m'
_symmetry_Int_Tables_number 63
_symmetry_space_group_name_Hall '-C 2c 2'
loop_
_atom_site_label
_atom_site_fract_x
_atom_site_fract_y
_atom_site_fract_z
Th1 0.0000 0.0628 0.1025
Th2 0.0000 0.3461 0.2500
Co1 0.0000 0.2137 0.6189
Ni1 0.0000 0.3341 0.0256
Ni2 0.0000 0.3739 0.7500
```

Main lines, most intense first (2θ from 5° to 70°):
- 33.75 deg, intensity 100, (1 1 4)
- 40.32 deg, intensity 35, (1 3 3)
- 25.03 deg, intensity 34, (0 2 3)
- 47.06 deg, intensity 27, (2 0 0)
- 36.37 deg, intensity 27, (1 3 0)
- 37.76 deg, intensity 26, (0 4 1)
- 27.32 deg, intensity 24, (1 1 2)
- 36.83 deg, intensity 23, (1 3 1)
- 34.01 deg, intensity 23, (0 0 6)
- 64.36 deg, intensity 22, (1 1 10)